This entry pairs a crystal structure of PtS2 with its theoretical powder XRD pattern. Radiation: Cu Kα, 1.54184 Å. Structure: DFT lattice parameters and positions (PBE).
Neutral-atom scattering factors, no anomalous dispersion.

Structural model:
```
data_PtS2
_chemical_formula_sum 'Pt1 S2'
_cell_length_a 3.5801
_cell_length_b 3.5801
_cell_length_c 6.2509
_cell_angle_alpha 90.00
_cell_angle_beta 90.00
_cell_angle_gamma 120.00
_symmetry_space_group_name_H-M 'P -3 m 1'
_symmetry_Int_Tables_number 164
_symmetry_space_group_name_Hall '-P 3 2"'
loop_
_atom_site_label
_atom_site_fract_x
_atom_site_fract_y
_atom_site_fract_z
Pt1 0.0000 0.0000 0.0000
S1 0.3333 0.6667 0.8035
```

Largest 10 diffraction maxima, low angle first, 2θ = 10–80°:
d_spacing, intensity, (hkl)
6.251, 100, 0 0 1
3.100, 30, 1 0 0
2.778, 65, 1 0 1
2.201, 46, 1 0 2
1.790, 16, 1 1 0
1.729, 22, 0 1 3
1.721, 20, 1 1 1
1.505, 10, 0 2 1
1.395, 8, 0 1 4
1.389, 11, 0 2 2